The following is a simulated X-ray diffraction stick pattern of Pm5Er5Pb2. It was derived from a cell relaxed with PBE, using CuKα.
Lines closer than 0.1° are merged.

Structural model:
```
Pm5Er5Pb2
1.0
5.7346 -2.6212 0.0000
5.7346 2.6212 0.0000
-0.4961 0.0000 12.7861
Pm Er Pb
5 5 2
direct
0.0000 0.0000 0.0000
0.3428 0.3428 0.4831
0.4187 0.4187 0.1800
0.5813 0.5813 0.8200
0.6572 0.6572 0.5169
0.0000 0.0000 0.5000
0.1251 0.1251 0.2652
0.2965 0.2965 0.9202
0.7035 0.7035 0.0798
0.8749 0.8749 0.7348
0.1813 0.1813 0.6929
0.8187 0.8187 0.3071
```

Peak list (6 most intense, 2θ from 10° to 90°, by intensity)
| 2theta | intensity |
| --- | --- |
| 31.79 | 100 |
| 34.21 | 66 |
| 34.02 | 59 |
| 28.31 | 47 |
| 32.60 | 38 |
| 34.81 | 32 |